This entry pairs a crystal structure of K2PH3SO8 with its calculated X-ray powder pattern. Radiation: CuKα. Structure: a DFT-relaxed cell (GGA-PBE, the Materials Project).
No peak broadening, texture or thermal motion is included.

Main lines, low angle first (10° ≤ 2θ ≤ 90°):
| index | 2θ/deg | I (rel.) |
| --- | --- | --- |
| 2 0 0 | 23.71 | 86 |
| 0 2 2 | 24.03 | 100 |
| 2 1 1 | 26.19 | 27 |
| -2 1 1 | 27.07 | 25 |
| 1 -2 2 | 27.34 | 74 |
| 1 2 -2 | 27.40 | 70 |
| 1 -1 3 | 28.12 | 30 |
| 1 1 -3 | 28.58 | 25 |
| 0 4 0 | 37.34 | 32 |
| 3 -1 3 | 44.19 | 27 |

Structural model:
```
60
Lattice="7.511 0.000 0.000 0.244 9.635 0.000 0.371 0.271 11.255" Properties=species:S:1:pos:R:3 pbc="T T T"
K 1.520 1.058 2.213
K 1.893 5.964 7.840
K 2.528 1.063 7.875
K 2.499 5.755 2.235
K 5.628 4.152 9.020
K 5.598 8.843 3.380
K 6.234 3.943 3.415
K 6.607 8.848 9.042
P 2.415 3.369 4.770
P 2.835 8.284 10.393
P 5.292 1.622 0.863
P 5.712 6.538 6.485
H 0.186 0.136 5.628
H 0.122 4.817 0.000
H 0.758 3.348 6.270
H 0.815 8.053 0.620
H 3.697 3.173 0.657
H 4.145 8.114 6.337
H 3.756 0.000 0.000
H 4.063 4.953 5.628
H 3.982 1.792 4.918
H 4.430 6.733 10.598
H 7.312 1.853 10.635
H 7.369 6.558 4.985
S 1.915 3.431 10.438
S 1.931 8.146 4.806
S 6.196 1.760 6.449
S 6.211 6.476 0.817
O 0.774 4.450 10.262
O 0.768 9.146 4.647
O 1.320 2.065 10.397
O 1.347 6.775 4.723
O 1.403 3.514 3.670
O 1.817 8.378 9.294
O 1.769 3.542 6.217
O 1.821 8.233 0.583
O 2.159 3.412 0.514
O 2.548 8.368 6.141
O 2.863 3.604 9.331
O 2.873 8.358 3.703
O 2.994 1.874 4.723
O 3.431 6.800 10.407
O 3.623 4.330 4.692
O 4.022 9.271 10.287
O 4.105 0.635 0.968
O 4.504 5.576 6.564
O 4.695 3.107 0.848
O 5.133 8.033 6.532
O 5.254 1.548 7.552
O 5.264 6.302 1.925
O 5.578 1.539 5.114
O 5.968 6.495 10.741
O 6.306 1.673 10.672
O 6.358 6.364 5.038
O 6.310 1.528 1.962
O 6.723 6.392 7.585
O 6.780 3.132 6.532
O 6.807 7.842 0.859
O 7.359 0.760 6.608
O 7.353 5.457 0.993
```